# Na2IrO4
Theoretical XRD peak list, Cu Kα. Input: a crystal structure in OQMD, relaxed with GGA-PBE.
Lines closer than 0.1° are merged.

Atomic structure:
```
21
Lattice="9.552 0.000 0.000 -4.776 8.272 0.000 0.000 0.000 3.124" Properties=species:S:1:pos:R:3 pbc="T T T"
Na 0.000 0.000 0.000
Na -1.464 2.536 1.562
Na 2.928 0.000 1.562
Na 0.000 5.515 1.562
Na 4.776 2.757 1.562
Na 3.312 5.736 1.562
Ir -3.205 5.551 0.000
Ir 1.571 2.722 0.000
Ir 6.409 0.000 0.000
O -2.590 4.487 1.562
O -3.862 6.688 1.562
O 0.915 1.584 1.562
O -0.055 3.607 0.000
O -1.625 6.517 0.000
O 3.152 1.755 0.000
O 2.186 3.786 1.562
O 5.181 0.000 1.562
O 1.680 6.421 0.000
O 4.721 4.665 0.000
O 6.456 1.852 0.000
O 7.723 0.000 1.562
```

Peak list (12 most intense, 10 to 80 degrees two-theta, in order of falling intensity)
d/Å  2θ/deg  Rel. int.
4.776  18.6  100
2.614  34.3  50
2.757  32.5  36
1.563  59.1  30
1.897  47.9  26
2.067  43.8  17
2.388  37.7  13
1.805  50.6  12
1.220  78.4  10
1.592  57.9  9
3.124  28.6  9
1.359  69.1  9

# Rb2Na2IrO4
Theoretical XRD peak list, Cu Kα. Input: a crystal structure in OQMD, relaxed with GGA-PBE.
Lines closer than 0.1° are merged.

Atomic structure:
```
36
Lattice="6.185 0.000 0.000 0.000 11.067 0.000 -4.059 0.000 8.768" Properties=species:S:1:pos:R:3 pbc="T T T"
Rb -0.152 1.447 2.427
Rb -2.181 4.087 6.811
Rb 1.094 7.016 0.055
Rb -0.936 9.586 4.439
Rb 3.062 1.482 4.329
Rb 1.032 4.052 8.713
Rb 4.308 6.980 1.957
Rb 2.278 9.621 6.341
Na -3.287 1.207 7.980
Na -1.257 4.327 3.596
Na 1.040 6.774 3.582
Na -0.989 9.827 7.965
Na 3.115 1.240 0.802
Na 1.086 4.294 5.186
Na 3.383 6.740 5.172
Na 5.413 9.861 0.788
Ir 0.043 1.465 6.450
Ir 2.072 4.069 2.066
Ir 0.054 6.998 6.702
Ir 2.083 9.603 2.318
O -1.614 0.476 6.475
O 0.415 5.058 2.091
O -1.588 8.008 6.674
O 0.441 8.593 2.290
O -0.562 2.545 4.973
O 1.467 2.989 0.589
O -0.581 5.992 5.160
O 1.449 10.609 0.776
O 0.677 0.459 7.992
O 2.707 5.075 3.608
O 0.659 8.079 8.179
O 2.688 8.523 3.795
O 1.685 2.474 6.478
O 3.715 3.059 2.094
O 1.711 6.010 6.677
O 3.740 10.591 2.293
```

Peak list (12 most intense, 10 to 80 degrees two-theta, in order of falling intensity)
d/Å  2θ/deg  Rel. int.
2.770  32.3  100
3.253  27.4  53
2.687  33.3  38
4.071  21.8  32
4.680  19.0  26
4.384  20.3  24
4.489  19.8  22
5.613  15.8  16
1.599  57.7  16
3.005  29.7  14
2.816  31.8  14
2.192  41.2  13

# NaIrSeO
Theoretical XRD peak list, Cu Kα. Input: a crystal structure in OQMD, relaxed with GGA-PBE.
Lines closer than 0.1° are merged.

Atomic structure:
```
16
Lattice="6.361 0.000 0.000 0.000 6.940 0.000 -1.660 0.000 5.908" Properties=species:S:1:pos:R:3 pbc="T T T"
Na 0.621 1.641 0.098
Na -0.209 1.829 3.052
Na 4.910 5.110 2.856
Na 4.081 5.299 5.810
Ir 1.789 4.307 4.483
Ir 2.618 6.102 1.528
Ir 2.083 0.837 4.380
Ir 2.913 2.632 1.426
Se 1.136 4.224 2.111
Se 0.306 6.185 5.065
Se 4.396 0.755 0.843
Se 3.566 2.715 3.797
O 1.726 0.955 2.195
O 0.896 2.515 5.149
O 3.806 4.425 0.759
O 2.976 5.984 3.714
```

Peak list (12 most intense, 10 to 80 degrees two-theta, in order of falling intensity)
d/Å  2θ/deg  Rel. int.
6.124  14.5  100
2.846  31.4  44
2.304  39.1  35
2.417  37.2  25
2.994  29.8  20
2.954  30.3  16
1.760  51.9  16
2.007  45.2  15
1.670  55.0  14
1.713  53.5  11
1.588  58.1  10
2.554  35.1  9

# NaSr3IrO6
Theoretical XRD peak list, Cu Kα. Input: a crystal structure in OQMD, relaxed with GGA-PBE.
Lines closer than 0.1° are merged.

Atomic structure:
```
22
Lattice="4.809 2.776 3.842 -4.809 2.776 3.842 0.000 -5.553 3.842" Properties=species:S:1:pos:R:3 pbc="T T T"
Na 0.000 0.000 2.882
Na 0.000 0.000 8.645
Sr -3.083 0.213 4.803
Sr -1.726 -2.563 6.724
Sr 1.357 -2.776 4.803
Sr -1.357 2.776 6.724
Sr 1.726 2.563 4.803
Sr 3.083 -0.213 6.724
Ir 0.000 0.000 0.000
Ir 0.000 0.000 5.763
O -4.165 -1.279 6.517
O -0.975 -4.247 5.010
O -0.975 -1.306 4.596
O -3.190 2.967 5.010
O -0.644 1.497 4.596
O -1.619 0.191 6.931
O 1.619 -0.191 4.596
O 0.644 -1.497 6.931
O 3.190 -2.967 6.517
O 0.975 1.306 6.931
O 0.975 4.247 6.517
O 4.165 1.279 5.010
```

Peak list (12 most intense, 10 to 80 degrees two-theta, in order of falling intensity)
d/Å  2θ/deg  Rel. int.
2.776  32.2  100
4.739  18.7  89
3.002  29.8  53
2.038  44.4  35
2.126  42.5  33
2.144  42.1  30
1.784  51.2  25
2.370  38.0  24
4.809  18.5  21
1.593  57.9  21
2.763  32.4  20
1.603  57.5  17

# Na2P2IrOs
Theoretical XRD peak list, Cu Kα. Input: a crystal structure in OQMD, relaxed with GGA-PBE.
Lines closer than 0.1° are merged.

Atomic structure:
```
6
Lattice="4.032 0.000 0.000 0.000 4.032 0.000 0.000 0.000 6.662" Properties=species:S:1:pos:R:3 pbc="T T T"
Na 0.000 2.016 0.961
Na 2.016 0.000 5.701
P 0.000 2.016 4.581
P 2.016 0.000 2.081
Ir 2.016 2.016 3.331
Os 0.000 0.000 3.331
```

Peak list (12 most intense, 10 to 80 degrees two-theta, in order of falling intensity)
d/Å  2θ/deg  Rel. int.
6.662  13.3  100
2.621  34.2  45
2.166  41.7  33
1.930  47.1  17
2.016  45.0  17
3.331  26.8  15
1.752  52.2  14
2.851  31.4  13
1.725  53.1  9
1.252  76.0  9
1.438  64.8  9
1.493  62.2  7

# Na4Si2IrPd
Theoretical XRD peak list, Cu Kα. Input: a crystal structure in OQMD, relaxed with GGA-PBE.
Lines closer than 0.1° are merged.

Atomic structure:
```
8
Lattice="4.545 0.000 0.000 0.000 4.545 0.000 0.000 0.000 6.402" Properties=species:S:1:pos:R:3 pbc="T T T"
Na 0.000 0.000 0.000
Na 0.000 2.272 4.728
Na 2.272 0.000 1.674
Na 2.272 2.272 3.201
Si 0.000 2.272 1.415
Si 2.272 0.000 4.987
Ir 2.272 2.272 0.000
Pd 0.000 0.000 3.201
```

Peak list (12 most intense, 10 to 80 degrees two-theta, in order of falling intensity)
d/Å  2θ/deg  Rel. int.
2.269  39.7  100
3.706  24.0  76
1.937  46.9  26
3.214  27.8  24
1.311  72.0  22
1.932  47.0  13
3.201  27.9  13
1.607  57.3  11
1.853  49.2  11
1.472  63.2  11
1.309  72.2  10
1.437  64.9  9

# Na3Sm2Ir
Theoretical XRD peak list, Cu Kα. Input: a crystal structure in OQMD, relaxed with GGA-PBE.
Lines closer than 0.1° are merged.

Atomic structure:
```
6
Lattice="2.690 -4.693 0.000 2.690 4.693 0.000 0.000 0.000 6.447" Properties=species:S:1:pos:R:3 pbc="T T T"
Na 0.000 0.000 0.000
Na 1.345 2.346 0.000
Na 1.345 -2.346 0.000
Sm 2.690 3.135 3.223
Sm 2.690 -3.135 3.223
Ir 2.690 0.000 3.223
```

Peak list (12 most intense, 10 to 80 degrees two-theta, in order of falling intensity)
d/Å  2θ/deg  Rel. int.
6.447  13.7  100
2.494  36.0  61
3.223  27.7  36
2.704  33.1  31
2.482  36.2  30
2.072  43.7  29
1.682  54.5  18
2.690  33.3  15
2.065  43.8  14
1.512  61.3  13
1.679  54.7  9
1.401  66.8  8

# Nb6Ir7
Theoretical XRD peak list, Cu Kα. Input: a crystal structure in OQMD, relaxed with GGA-PBE.
Lines closer than 0.1° are merged.

Atomic structure:
```
13
Lattice="2.610 1.507 9.059 -2.610 1.507 9.059 0.000 -3.013 9.059" Properties=species:S:1:pos:R:3 pbc="T T T"
Nb 0.000 0.000 1.333
Nb 0.000 0.000 4.212
Nb 0.000 0.000 9.119
Nb 0.000 0.000 18.056
Nb 0.000 0.000 22.964
Nb 0.000 0.000 25.843
Ir -1.313 -0.758 11.443
Ir 0.000 -1.516 15.733
Ir -1.313 0.758 15.733
Ir 0.000 0.000 13.588
Ir 1.313 -0.758 11.443
Ir 0.000 1.516 11.443
Ir 1.313 0.758 15.733
```

Peak list (12 most intense, 10 to 80 degrees two-theta, in order of falling intensity)
d/Å  2θ/deg  Rel. int.
2.262  39.8  100
2.087  43.4  60
1.305  72.4  44
2.252  40.0  42
1.953  46.5  36
4.529  19.6  34
2.168  41.7  30
4.459  19.9  25
2.229  40.5  21
2.144  42.1  17
2.329  38.7  17
1.430  65.3  16

# NbZnNiIr
Theoretical XRD peak list, Cu Kα. Input: a crystal structure in OQMD, relaxed with GGA-PBE.
Lines closer than 0.1° are merged.

Atomic structure:
```
4
Lattice="0.000 3.080 3.080 3.080 0.000 3.080 3.080 3.080 0.000" Properties=species:S:1:pos:R:3 pbc="T T T"
Nb 0.000 0.000 0.000
Zn 1.540 1.540 1.540
Ni 3.080 3.080 3.080
Ir 4.619 4.619 4.619
```

Peak list (9 most intense, 10 to 80 degrees two-theta, in order of falling intensity)
d/Å  2θ/deg  Rel. int.
2.178  41.5  100
1.257  75.6  33
3.556  25.0  21
1.540  60.1  16
1.857  49.1  11
3.080  29.0  7
1.413  66.1  5
1.377  68.1  3
1.778  51.4  2

# Nb2IrO4
Theoretical XRD peak list, Cu Kα. Input: a crystal structure in OQMD, relaxed with GGA-PBE.
Lines closer than 0.1° are merged.

Atomic structure:
```
14
Lattice="0.000 4.442 4.442 4.442 0.000 4.442 4.442 4.442 0.000" Properties=species:S:1:pos:R:3 pbc="T T T"
Nb 0.000 0.000 0.000
Nb 2.221 2.221 0.000
Nb 2.221 0.000 2.221
Nb 0.000 2.221 2.221
Ir 3.332 3.332 3.332
Ir 5.553 5.553 5.553
O 6.764 4.342 4.342
O 2.120 2.120 2.120
O 4.543 4.543 2.120
O 4.543 2.120 4.543
O 4.342 6.764 4.342
O 4.342 4.342 6.764
O 6.764 6.764 6.764
O 2.120 4.543 4.543
```

Peak list (12 most intense, 10 to 80 degrees two-theta, in order of falling intensity)
d/Å  2θ/deg  Rel. int.
2.679  33.5  100
3.141  28.4  54
1.710  53.6  38
1.571  58.8  35
1.814  50.3  22
1.355  69.4  12
1.405  66.6  9
2.565  35.0  9
1.339  70.3  5
5.130  17.3  2
2.038  44.4  2
2.221  40.6  1

# NbIrO4
Theoretical XRD peak list, Cu Kα. Input: a crystal structure in OQMD, relaxed with GGA-PBE.
Lines closer than 0.1° are merged.

Atomic structure:
```
12
Lattice="4.471 0.000 0.000 0.000 5.800 0.000 -0.144 0.000 5.203" Properties=species:S:1:pos:R:3 pbc="T T T"
Nb -0.036 0.956 1.301
Nb -0.108 4.844 3.903
Ir 2.127 2.059 3.903
Ir 2.199 3.740 1.301
O 0.959 0.632 3.021
O 1.032 5.168 0.420
O 1.183 2.219 0.412
O 1.111 3.581 3.013
O 3.216 2.219 2.190
O 3.144 3.581 4.792
O 3.295 0.632 4.784
O 3.367 5.168 2.182
```

Peak list (12 most intense, 10 to 80 degrees two-theta, in order of falling intensity)
d/Å  2θ/deg  Rel. int.
2.898  30.9  100
2.957  30.2  97
3.540  25.2  86
2.533  35.4  68
2.602  34.5  41
1.687  54.4  33
1.774  51.5  31
1.665  55.2  29
1.489  62.4  25
4.469  19.9  21
2.235  40.4  21
2.191  41.2  19

# TaNbSi2Ir2
Theoretical XRD peak list, Cu Kα. Input: a crystal structure in OQMD, relaxed with GGA-PBE.
Lines closer than 0.1° are merged.

Atomic structure:
```
24
Lattice="8.416 0.000 0.000 0.000 4.208 0.000 -4.208 0.000 11.902" Properties=species:S:1:pos:R:3 pbc="T T T"
Ta 0.000 0.000 0.000
Ta -2.104 2.104 8.924
Ta 0.001 0.000 5.949
Ta 0.002 0.000 11.901
Nb 2.105 2.104 2.975
Nb 2.106 2.104 8.925
Nb 4.209 0.000 5.949
Nb 6.313 2.104 2.976
Si -2.101 2.104 5.952
Si 0.001 0.000 2.977
Si -2.103 2.104 11.901
Si -0.002 0.000 8.926
Si 2.102 2.104 5.948
Si 4.209 0.000 2.972
Si 2.105 2.104 11.901
Si 4.211 0.000 8.925
Ir 0.001 2.104 1.481
Ir -2.103 0.000 10.413
Ir -0.004 2.104 7.435
Ir 2.100 0.000 4.465
Ir 4.209 2.104 1.479
Ir 2.105 0.000 10.419
Ir 4.214 2.104 7.441
Ir 6.318 0.000 4.466
```

Peak list (12 most intense, 10 to 80 degrees two-theta, in order of falling intensity)
d/Å  2θ/deg  Rel. int.
2.104  43.0  100
3.436  25.9  96
1.794  50.9  47
1.215  78.8  34
1.365  68.8  19
1.488  62.4  17
7.935  11.2  1
5.951  14.9  1
3.967  22.4  1
5.773  15.3  1
4.208  21.1  1
2.887  31.0  1